No. 1
Hf2Cd2P: theoretical powder X-ray diffraction pattern (Cu Ka), based on DFT lattice parameters and positions (PBE).
Kinematic intensities with the Lorentz-polarization factor, no thermal factor.

Structure:
```
Hf2Cd2P
1.0
0.000 6.135 3.089
5.509 0.000 3.089
5.509 6.135 0.000
Hf Cd P
4 4 2
Direct
0.300 0.700 0.460
0.700 0.300 0.540
0.710 0.790 0.550
0.790 0.710 0.950
0.154 0.337 0.982
0.268 0.723 0.096
0.337 0.154 0.527
0.723 0.268 0.913
0.072 0.072 0.428
0.822 0.822 0.178
```

Largest 10 diffraction maxima, most intense first, 10° ≤ 2θ ≤ 90°:
- 2θ = 36.4°, I 100
- 2θ = 35.7°, I 51
- 2θ = 35.9°, I 34
- 2θ = 40.4°, I 33
- 2θ = 29.1°, I 27
- 2θ = 18.0°, I 23
- 2θ = 33.3°, I 22
- 2θ = 58.5°, I 21
- 2θ = 32.5°, I 19
- 2θ = 60.4°, I 14

No. 2
HfCdPb: theoretical powder X-ray diffraction pattern (Cu Ka), based on DFT lattice parameters and positions (PBE).
Kinematic intensities with the Lorentz-polarization factor, no thermal factor.

Structure:
```
HfCdPb
1.0
3.613 0.000 0.000
0.000 3.613 0.000
0.000 0.000 10.649
Hf Cd Pb
2 2 2
Direct
0.000 0.000 0.000
0.500 0.500 0.500
0.000 0.000 0.345
0.000 0.000 0.655
0.500 0.500 0.175
0.500 0.500 0.825
```

Largest 10 diffraction maxima, most intense first, 10° ≤ 2θ ≤ 90°:
- 2θ = 35.4°, I 100
- 2θ = 35.1°, I 52
- 2θ = 63.2°, I 37
- 2θ = 50.5°, I 19
- 2θ = 63.9°, I 17
- 2θ = 75.0°, I 11
- 2θ = 84.9°, I 9
- 2θ = 85.0°, I 8
- 2θ = 51.5°, I 8
- 2θ = 86.6°, I 7

No. 3
Hf3Cd4Sb4: theoretical powder X-ray diffraction pattern (Cu Ka), based on DFT lattice parameters and positions (PBE).
Kinematic intensities with the Lorentz-polarization factor, no thermal factor.

Structure:
```
Hf3Cd4Sb4
1.0
-3.002 3.002 7.613
3.002 -3.002 7.613
3.002 3.002 -7.613
Hf Cd Sb
3 4 4
Direct
0.000 0.000 0.000
0.250 0.750 0.500
0.750 0.250 0.500
0.221 0.546 0.000
0.454 0.454 0.674
0.546 0.221 0.000
0.779 0.779 0.326
0.000 0.500 0.500
0.193 0.193 0.000
0.500 0.000 0.500
0.807 0.807 0.000
```

Largest 10 diffraction maxima, most intense first, 10° ≤ 2θ ≤ 90°:
- 2θ = 38.2°, I 100
- 2θ = 29.8°, I 61
- 2θ = 33.0°, I 56
- 2θ = 33.9°, I 47
- 2θ = 42.6°, I 44
- 2θ = 31.6°, I 43
- 2θ = 24.0°, I 41
- 2θ = 49.1°, I 24
- 2θ = 70.0°, I 24
- 2θ = 45.7°, I 21

No. 4
Hf5CdSb3: theoretical powder X-ray diffraction pattern (Cu Ka), based on DFT lattice parameters and positions (PBE).
Kinematic intensities with the Lorentz-polarization factor, no thermal factor.

Structure:
```
Hf5CdSb3
1.0
8.700 0.000 0.000
-4.350 7.534 0.000
0.000 0.000 5.833
Hf Cd Sb
10 2 6
Direct
0.000 0.285 0.250
0.000 0.715 0.750
0.285 0.000 0.250
0.285 0.285 0.750
0.333 0.667 0.000
0.333 0.667 0.500
0.667 0.333 0.000
0.667 0.333 0.500
0.715 0.000 0.750
0.715 0.715 0.250
0.000 0.000 0.000
0.000 0.000 0.500
0.000 0.380 0.750
0.000 0.620 0.250
0.380 0.000 0.750
0.380 0.380 0.250
0.620 0.000 0.250
0.620 0.620 0.750
```

Largest 10 diffraction maxima, most intense first, 10° ≤ 2θ ≤ 90°:
- 2θ = 37.1°, I 100
- 2θ = 35.8°, I 94
- 2θ = 35.1°, I 41
- 2θ = 52.5°, I 29
- 2θ = 65.1°, I 22
- 2θ = 75.4°, I 21
- 2θ = 46.1°, I 12
- 2θ = 71.6°, I 11
- 2θ = 67.7°, I 11
- 2θ = 57.4°, I 10

No. 5
HfCdSn: theoretical powder X-ray diffraction pattern (Cu Ka), based on DFT lattice parameters and positions (PBE).
Kinematic intensities with the Lorentz-polarization factor, no thermal factor.

Structure:
```
HfCdSn
1.0
0.000 3.353 3.353
3.353 0.000 3.353
3.353 3.353 0.000
Hf Cd Sn
1 1 1
Direct
0.000 0.000 0.000
0.250 0.250 0.250
0.500 0.500 0.500
```

Largest 10 diffraction maxima, most intense first, 10° ≤ 2θ ≤ 90°:
- 2θ = 38.0°, I 100
- 2θ = 68.6°, I 35
- 2θ = 26.6°, I 24
- 2θ = 23.0°, I 23
- 2θ = 54.8°, I 17
- 2θ = 44.8°, I 12
- 2θ = 81.1°, I 11
- 2θ = 61.9°, I 10
- 2θ = 46.9°, I 7
- 2θ = 87.2°, I 5

No. 6
SrHfCd4: theoretical powder X-ray diffraction pattern (Cu Ka), based on DFT lattice parameters and positions (PBE).
Kinematic intensities with the Lorentz-polarization factor, no thermal factor.

Structure:
```
SrHfCd4
1.0
3.503 0.000 0.000
0.000 3.503 0.000
0.000 0.000 11.650
Sr Hf Cd
1 1 4
Direct
0.000 0.000 0.000
0.500 0.500 0.500
0.000 0.000 0.349
0.000 0.000 0.651
0.500 0.500 0.201
0.500 0.500 0.799
```

Largest 10 diffraction maxima, most intense first, 10° ≤ 2θ ≤ 90°:
- 2θ = 34.5°, I 100
- 2θ = 36.3°, I 51
- 2θ = 64.1°, I 32
- 2θ = 52.2°, I 18
- 2θ = 40.3°, I 17
- 2θ = 67.9°, I 14
- 2θ = 60.6°, I 12
- 2θ = 88.2°, I 8
- 2θ = 87.2°, I 7
- 2θ = 72.7°, I 7

No. 7
HfZnCd: theoretical powder X-ray diffraction pattern (Cu Ka), based on DFT lattice parameters and positions (PBE).
Kinematic intensities with the Lorentz-polarization factor, no thermal factor.

Structure:
```
HfZnCd
1.0
3.316 0.000 0.000
0.000 3.316 0.000
0.000 0.000 9.992
Hf Zn Cd
2 2 2
Direct
0.000 0.000 0.000
0.500 0.500 0.500
0.000 0.000 0.337
0.000 0.000 0.663
0.500 0.500 0.186
0.500 0.500 0.814
```

Largest 10 diffraction maxima, most intense first, 10° ≤ 2θ ≤ 90°:
- 2θ = 38.3°, I 100
- 2θ = 69.4°, I 22
- 2θ = 55.4°, I 12
- 2θ = 28.4°, I 10
- 2θ = 69.2°, I 10
- 2θ = 82.0°, I 6
- 2θ = 55.2°, I 5
- 2θ = 53.6°, I 4
- 2θ = 82.2°, I 4
- 2θ = 17.8°, I 3

No. 8
Cd3Hg5: theoretical powder X-ray diffraction pattern (Cu Ka), based on DFT lattice parameters and positions (PBE).
Kinematic intensities with the Lorentz-polarization factor, no thermal factor.

Structure:
```
Cd3Hg5
1.0
15.401 0.000 0.000
-7.701 13.338 0.000
0.000 0.000 5.962
Cd Hg
18 30
Direct
0.065 0.532 0.002
0.134 0.269 0.000
0.134 0.866 0.000
0.199 0.398 0.509
0.199 0.801 0.509
0.269 0.134 0.500
0.398 0.199 0.009
0.468 0.532 0.002
0.468 0.935 0.002
0.532 0.065 0.502
0.532 0.468 0.502
0.602 0.801 0.509
0.731 0.866 0.000
0.801 0.199 0.009
0.801 0.602 0.009
0.866 0.134 0.500
0.866 0.731 0.500
0.935 0.468 0.502
0.002 0.334 0.253
0.002 0.668 0.253
0.073 0.146 0.508
0.073 0.927 0.508
0.146 0.073 0.008
0.187 0.594 0.510
0.260 0.521 0.012
0.260 0.740 0.012
0.332 0.334 0.253
0.332 0.998 0.253
0.334 0.002 0.753
0.334 0.332 0.753
0.406 0.594 0.510
0.406 0.813 0.510
0.479 0.740 0.012
0.521 0.260 0.512
0.594 0.187 0.010
0.594 0.406 0.010
0.666 0.668 0.253
0.666 0.998 0.253
0.668 0.002 0.753
0.668 0.666 0.753
0.740 0.260 0.512
0.740 0.479 0.512
0.813 0.406 0.010
0.854 0.927 0.508
0.927 0.073 0.008
0.927 0.854 0.008
0.998 0.332 0.753
0.998 0.666 0.753
```

Largest 10 diffraction maxima, most intense first, 10° ≤ 2θ ≤ 90°:
- 2θ = 34.3°, I 100
- 2θ = 36.3°, I 53
- 2θ = 30.7°, I 44
- 2θ = 32.2°, I 27
- 2θ = 56.0°, I 24
- 2θ = 68.6°, I 22
- 2θ = 35.0°, I 21
- 2θ = 51.3°, I 19
- 2θ = 54.6°, I 18
- 2θ = 71.0°, I 18